No. 1
For Sr2PbIO6, a cell relaxed with GGA-PBE gives the calculated powder X-ray diffraction pattern in this record (λ = 1.5418 Å (Cu Kα)).
Peak positions follow from Bragg's law for the DFT cell and can differ from measured ones.

Main lines, sorted by position (10° ≤ 2θ ≤ 90°):
- 20.50 deg, rel. 34
- 28.79 deg, rel. 100
- 29.50 deg, rel. 95
- 41.69 deg, rel. 49
- 51.02 deg, rel. 27
- 51.46 deg, rel. 44
- 52.77 deg, rel. 16
- 59.64 deg, rel. 15
- 67.93 deg, rel. 18
- 69.04 deg, rel. 16

Crystal structure
Lattice parameters (Å, degrees): 6.059 6.059 6.059 61.56 61.56 61.56
Element x y z (fractional)
Sr: 0.234 0.234 0.234
Sr: 0.766 0.766 0.766
Pb: 0.500 0.500 0.500
I: 0.000 0.000 0.000
O: 0.127 0.321 0.796
O: 0.204 0.873 0.679
O: 0.321 0.796 0.127
O: 0.679 0.204 0.873
O: 0.796 0.127 0.321
O: 0.873 0.679 0.204

---

No. 2
For TePbIO6, a cell relaxed with GGA-PBE gives the calculated powder X-ray diffraction pattern in this record (λ = 1.5418 Å (Cu Kα)).
Peak positions follow from Bragg's law for the DFT cell and can differ from measured ones.

Main lines, sorted by position (10° ≤ 2θ ≤ 90°):
- 24.30 deg, rel. 100
- 30.56 deg, rel. 42
- 39.42 deg, rel. 26
- 46.22 deg, rel. 33
- 50.68 deg, rel. 26
- 54.32 deg, rel. 13
- 55.04 deg, rel. 9
- 65.54 deg, rel. 8
- 69.16 deg, rel. 11
- 72.83 deg, rel. 9

Crystal structure
Lattice parameters (Å, degrees): 5.851 5.851 5.301 90.00 90.00 120.00
Element x y z (fractional)
Te: 0.000 0.000 0.000
Pb: 0.667 0.333 0.571
I: 0.333 0.667 0.076
O: 0.079 0.376 0.260
O: 0.297 0.921 0.260
O: 0.301 0.274 0.829
O: 0.624 0.703 0.260
O: 0.726 0.027 0.829
O: 0.973 0.699 0.829

---

No. 3
For Tl2PbIO8, a cell relaxed with GGA-PBE gives the calculated powder X-ray diffraction pattern in this record (λ = 1.5418 Å (Cu Kα)).
Peak positions follow from Bragg's law for the DFT cell and can differ from measured ones.

Main lines, sorted by position (10° ≤ 2θ ≤ 90°):
- 24.17 deg, rel. 59
- 25.44 deg, rel. 50
- 31.33 deg, rel. 100
- 35.37 deg, rel. 31
- 47.24 deg, rel. 42
- 48.68 deg, rel. 36
- 59.10 deg, rel. 11
- 60.99 deg, rel. 21
- 65.38 deg, rel. 12
- 70.83 deg, rel. 10

Crystal structure
Lattice parameters (Å, degrees): 5.078 6.906 5.086 90.00 92.89 90.00
Element x y z (fractional)
Tl: 0.000 0.245 0.000
Tl: 0.000 0.755 0.000
Pb: 0.500 0.500 0.500
I: 0.500 0.000 0.500
O: 0.196 0.500 0.195
O: 0.220 0.000 0.219
O: 0.323 0.210 0.675
O: 0.323 0.790 0.675
O: 0.677 0.210 0.325
O: 0.677 0.790 0.325
O: 0.780 0.000 0.781
O: 0.804 0.500 0.805

---

No. 4
For Pd2I2O7, a cell relaxed with GGA-PBE gives the calculated powder X-ray diffraction pattern in this record (λ = 1.5418 Å (Cu Kα)).
Peak positions follow from Bragg's law for the DFT cell and can differ from measured ones.

Main lines, sorted by position (10° ≤ 2θ ≤ 90°):
- 16.75 deg, rel. 33
- 21.45 deg, rel. 100
- 24.40 deg, rel. 98
- 30.01 deg, rel. 28
- 32.65 deg, rel. 24
- 33.88 deg, rel. 36
- 36.32 deg, rel. 30
- 43.51 deg, rel. 53
- 44.94 deg, rel. 33
- 55.63 deg, rel. 24

Crystal structure
Lattice parameters (Å, degrees): 5.513 5.513 6.494 90.87 90.87 106.24
Element x y z (fractional)
Pd: 0.190 0.810 0.000
Pd: 0.810 0.190 0.000
I: 0.227 0.227 0.357
I: 0.773 0.773 0.643
O: 0.043 0.043 0.784
O: 0.115 0.456 0.174
O: 0.456 0.115 0.174
O: 0.500 0.500 0.500
O: 0.544 0.885 0.826
O: 0.885 0.544 0.826
O: 0.957 0.957 0.216

---

No. 5
For Rb2PdI6O, a cell relaxed with GGA-PBE gives the calculated powder X-ray diffraction pattern in this record (λ = 1.5418 Å (Cu Kα)).
Peak positions follow from Bragg's law for the DFT cell and can differ from measured ones.

Main lines, sorted by position (10° ≤ 2θ ≤ 90°):
- 13.49 deg, rel. 15
- 14.50 deg, rel. 21
- 27.17 deg, rel. 100
- 28.46 deg, rel. 20
- 29.24 deg, rel. 74
- 35.56 deg, rel. 20
- 41.83 deg, rel. 24
- 46.53 deg, rel. 22
- 46.69 deg, rel. 31
- 50.60 deg, rel. 24

Crystal structure
Lattice parameters (Å, degrees): 7.924 7.924 7.924 113.95 113.95 100.85
Element x y z (fractional)
Rb: 0.250 0.750 0.500
Rb: 0.750 0.250 0.500
Pd: 0.000 0.000 0.000
I: 0.220 0.220 0.439
I: 0.220 0.780 0.000
I: 0.288 0.288 0.000
I: 0.712 0.712 0.000
I: 0.780 0.220 0.000
I: 0.780 0.780 0.561
O: 0.500 0.500 0.000

---

No. 6
For TePdIO, a cell relaxed with GGA-PBE gives the calculated powder X-ray diffraction pattern in this record (λ = 1.5418 Å (Cu Kα)).
Peak positions follow from Bragg's law for the DFT cell and can differ from measured ones.

Main lines, sorted by position (10° ≤ 2θ ≤ 90°):
- 13.73 deg, rel. 48
- 23.59 deg, rel. 47
- 27.61 deg, rel. 41
- 30.40 deg, rel. 100
- 31.29 deg, rel. 30
- 40.11 deg, rel. 21
- 41.81 deg, rel. 33
- 45.32 deg, rel. 27
- 47.04 deg, rel. 32
- 52.57 deg, rel. 20

Crystal structure
Lattice parameters (Å, degrees): 4.465 4.465 6.662 103.06 103.06 52.12
Element x y z (fractional)
Te: 0.000 0.000 0.000
Pd: 0.629 0.629 0.260
I: 0.370 0.370 0.475
O: 0.760 0.760 0.984

---

No. 7
For PmIO6, a cell relaxed with GGA-PBE gives the calculated powder X-ray diffraction pattern in this record (λ = 1.5418 Å (Cu Kα)).
Peak positions follow from Bragg's law for the DFT cell and can differ from measured ones.

Main lines, sorted by position (10° ≤ 2θ ≤ 90°):
- 24.65 deg, rel. 77
- 25.35 deg, rel. 68
- 27.50 deg, rel. 100
- 27.96 deg, rel. 77
- 34.89 deg, rel. 17
- 44.88 deg, rel. 28
- 45.75 deg, rel. 49
- 46.61 deg, rel. 24
- 50.54 deg, rel. 16
- 60.43 deg, rel. 17

Crystal structure
Lattice parameters (Å, degrees): 4.940 8.362 5.145 90.00 91.57 90.00
Element x y z (fractional)
Pm: 0.000 0.000 0.000
Pm: 0.000 0.500 0.000
I: 0.500 0.197 0.500
I: 0.500 0.803 0.500
O: 0.246 0.320 0.314
O: 0.246 0.680 0.314
O: 0.269 0.187 0.780
O: 0.269 0.813 0.780
O: 0.304 0.000 0.353
O: 0.423 0.500 0.810
O: 0.577 0.500 0.190
O: 0.696 0.000 0.647
O: 0.731 0.187 0.220
O: 0.731 0.813 0.220
O: 0.754 0.320 0.686
O: 0.754 0.680 0.686

---

No. 8
For PmIO6, a cell relaxed with GGA-PBE gives the calculated powder X-ray diffraction pattern in this record (λ = 1.5418 Å (Cu Kα)).
Peak positions follow from Bragg's law for the DFT cell and can differ from measured ones.

Main lines, sorted by position (10° ≤ 2θ ≤ 90°):
- 21.22 deg, rel. 100
- 30.19 deg, rel. 50
- 37.19 deg, rel. 10
- 43.22 deg, rel. 20
- 48.63 deg, rel. 40
- 53.65 deg, rel. 15
- 62.71 deg, rel. 6
- 62.83 deg, rel. 6
- 67.09 deg, rel. 15
- 71.22 deg, rel. 10

Crystal structure
Lattice parameters (Å, degrees): 5.926 5.926 5.926 59.88 59.88 59.88
Element x y z (fractional)
Pm: 0.000 0.000 0.000
I: 0.500 0.500 0.500
O: 0.277 0.277 0.723
O: 0.277 0.723 0.277
O: 0.277 0.723 0.723
O: 0.723 0.277 0.277
O: 0.723 0.277 0.723
O: 0.723 0.723 0.277

---

> What is the formula in the sixth record?

TePdIO